No. 1
Starting from a PBE-relaxed structure, the X-ray diffraction stick pattern of Y5Ir2Pb was simulated for Cu Kα (weighted mean of Kα1 and Kα2).

Most intense lines, 10 to 80 degrees two-theta, sorted by position:
12.99°, intensity 20
20.68°, intensity 33
26.28°, intensity 13
32.30°, intensity 100
34.92°, intensity 21
36.31°, intensity 61
42.02°, intensity 36
45.29°, intensity 14
52.27°, intensity 16
66.64°, intensity 20
67.72°, intensity 21
73.93°, intensity 12

Atomic structure:
```
data_Y5Ir2Pb
_chemical_formula_sum 'Y20 Ir8 Pb4'
_cell_length_a 7.824
_cell_length_b 7.824
_cell_length_c 13.634
_cell_angle_alpha 90.00
_cell_angle_beta 90.00
_cell_angle_gamma 90.00
_space_group_name_H-M_alt 'I 4/m c m'
_space_group_IT_number 140
_space_group_name_Hall '-I 4 2c'
loop_
_atom_site_label
_atom_site_type_symbol
_atom_site_fract_x
_atom_site_fract_y
_atom_site_fract_z
_atom_site_occupancy
Y1 Y 0.000 0.000 0.000 1
Y2 Y 0.158 0.342 0.133 1
Ir1 Ir 0.139 0.361 0.500 1
Pb1 Pb 0.000 0.000 0.250 1
```

No. 2
Starting from a PBE-relaxed structure, the X-ray diffraction stick pattern of Cu5Ni2Pd4 was simulated for Cu Kα (weighted mean of Kα1 and Kα2).

Most intense lines, 10 to 80 degrees two-theta, sorted by position:
33.13°, intensity 25
36.52°, intensity 21
40.73°, intensity 100
41.94°, intensity 95
43.47°, intensity 60
44.50°, intensity 33
44.87°, intensity 23
45.47°, intensity 63
45.76°, intensity 35
48.42°, intensity 27
50.07°, intensity 44
70.75°, intensity 21

Atomic structure:
```
data_Cu5Ni2Pd4
_chemical_formula_sum 'Cu10 Ni4 Pd8'
_cell_length_a 16.978
_cell_length_b 2.663
_cell_length_c 6.515
_cell_angle_alpha 90.00
_cell_angle_beta 97.41
_cell_angle_gamma 90.00
_space_group_name_H-M_alt 'C 1 2/m 1'
_space_group_IT_number 12
_space_group_name_Hall '-C 2y'
loop_
_atom_site_label
_atom_site_type_symbol
_atom_site_fract_x
_atom_site_fract_y
_atom_site_fract_z
_atom_site_occupancy
Cu1 Cu 0.000 0.000 0.000 1
Cu2 Cu 0.133 0.500 0.056 1
Cu3 Cu 0.190 0.500 0.435 1
Ni1 Ni 0.243 0.500 0.832 1
Pd1 Pd 0.040 0.500 0.337 1
Pd2 Pd 0.110 0.000 0.703 1
```

What did the first record say?
Starting from a PBE-relaxed structure, the X-ray diffraction stick pattern of Y5Ir2Pb was simulated for Cu Kα (weighted mean of Kα1 and Kα2).

Most intense lines, 10 to 80 degrees two-theta, sorted by position:
12.99°, intensity 20
20.68°, intensity 33
26.28°, intensity 13
32.30°, intensity 100
34.92°, intensity 21
36.31°, intensity 61
42.02°, intensity 36
45.29°, intensity 14
52.27°, intensity 16
66.64°, intensity 20
67.72°, intensity 21
73.93°, intensity 12

Atomic structure:
```
data_Y5Ir2Pb
_chemical_formula_sum 'Y20 Ir8 Pb4'
_cell_length_a 7.824
_cell_length_b 7.824
_cell_length_c 13.634
_cell_angle_alpha 90.00
_cell_angle_beta 90.00
_cell_angle_gamma 90.00
_space_group_name_H-M_alt 'I 4/m c m'
_space_group_IT_number 140
_space_group_name_Hall '-I 4 2c'
loop_
_atom_site_label
_atom_site_type_symbol
_atom_site_fract_x
_atom_site_fract_y
_atom_site_fract_z
_atom_site_occupancy
Y1 Y 0.000 0.000 0.000 1
Y2 Y 0.158 0.342 0.133 1
Ir1 Ir 0.139 0.361 0.500 1
Pb1 Pb 0.000 0.000 0.250 1
```

Repeat the first record exactly.
Starting from a PBE-relaxed structure, the X-ray diffraction stick pattern of Y5Ir2Pb was simulated for Cu Kα (weighted mean of Kα1 and Kα2).

Most intense lines, 10 to 80 degrees two-theta, sorted by position:
12.99°, intensity 20
20.68°, intensity 33
26.28°, intensity 13
32.30°, intensity 100
34.92°, intensity 21
36.31°, intensity 61
42.02°, intensity 36
45.29°, intensity 14
52.27°, intensity 16
66.64°, intensity 20
67.72°, intensity 21
73.93°, intensity 12

Atomic structure:
```
data_Y5Ir2Pb
_chemical_formula_sum 'Y20 Ir8 Pb4'
_cell_length_a 7.824
_cell_length_b 7.824
_cell_length_c 13.634
_cell_angle_alpha 90.00
_cell_angle_beta 90.00
_cell_angle_gamma 90.00
_space_group_name_H-M_alt 'I 4/m c m'
_space_group_IT_number 140
_space_group_name_Hall '-I 4 2c'
loop_
_atom_site_label
_atom_site_type_symbol
_atom_site_fract_x
_atom_site_fract_y
_atom_site_fract_z
_atom_site_occupancy
Y1 Y 0.000 0.000 0.000 1
Y2 Y 0.158 0.342 0.133 1
Ir1 Ir 0.139 0.361 0.500 1
Pb1 Pb 0.000 0.000 0.250 1
```